The following is a simulated powder XRD pattern of Pu4N2Cl. It was derived from a GGA-PBE-relaxed structure, using Cu Ka.
Intensities are scaled so that the largest is 100.

Main lines, by angle (2θ = 5–70°):
2θ/deg  d (Å)  intensity
10.67  8.288  36
25.29  3.522  100
32.41  2.763  38
35.15  2.553  55
42.64  2.120  69
47.22  1.925  28
50.22  1.817  17
54.56  1.682  55

```
7
Lattice="2.1203 1.2242 8.2879 -2.1203 1.2242 8.2879 0.0000 -2.4483 8.2879" Properties=species:S:1:pos:R:3 pbc="T T T"
Pu 0.0000 0.0000 4.1337
Pu 0.0000 0.0000 6.8382
Pu 0.0000 0.0000 18.0254
Pu 0.0000 0.0000 20.7299
N 0.0000 0.0000 11.7117
N 0.0000 0.0000 13.1519
Cl 0.0000 0.0000 0.0000
```

---

The following is a simulated powder XRD pattern of Rb4N3Cl4. It was derived from a GGA-PBE-relaxed structure, using Cu Ka.
Intensities are scaled so that the largest is 100.

Main lines, by angle (2θ = 5–70°):
2θ/deg  d (Å)  intensity
5.15  17.166  81
20.70  4.292  73
24.94  3.570  57
26.49  3.365  57
28.28  3.156  100
28.73  3.108  87
39.73  2.269  74
41.16  2.193  49

```
11
Lattice="4.3962 0.0000 0.0000 0.0556 4.5382 0.0000 0.8825 1.9201 17.1659" Properties=species:S:1:pos:R:3 pbc="T T T"
Rb 0.0000 0.0000 0.0000
Rb 0.8362 1.9488 10.6570
Rb 1.9309 4.5768 4.5545
Rb 3.0599 4.1905 13.9416
N 3.0466 4.1484 17.0337
N 3.0350 4.2097 10.9119
N 4.1226 2.3165 4.5587
Cl 0.8330 1.9214 13.9270
Cl 2.3229 2.3076 1.5785
Cl 3.0957 4.2027 9.2011
Cl 3.9765 2.3842 6.2653
```

---

The following is a simulated powder XRD pattern of TeS2N2Cl2. It was derived from a GGA-PBE-relaxed structure, using Cu Ka.
Intensities are scaled so that the largest is 100.

Main lines, by angle (2θ = 5–70°):
2θ/deg  d (Å)  intensity
14.88  5.952  49
15.68  5.653  100
17.43  5.089  35
18.71  4.743  32
23.70  3.755  30
27.41  3.254  36
27.54  3.239  59
37.22  2.416  31

```
28
Lattice="10.2517 -4.9223 0.0000 10.2517 4.9223 0.0000 -0.9242 0.0000 7.6637" Properties=species:S:1:pos:R:3 pbc="T T T"
Te 7.4854 3.3213 6.1391
Te 11.6317 3.3213 5.3565
Te 7.9475 -3.3213 2.3072
Te 12.0938 -3.3213 1.5246
S 5.4158 1.1916 5.2237
S 7.7761 0.8994 6.6980
S 5.8779 -1.1916 1.3919
S 11.3410 0.8994 4.7975
S 8.2382 -0.8994 2.8662
S 13.7013 1.1916 6.2718
S 11.8031 -0.8994 0.9657
S 14.1634 -1.1916 2.4400
N 5.8355 2.6944 5.1603
N 6.4232 0.2862 6.0311
N 6.8853 -0.2862 2.1992
N 13.2815 2.6944 6.3353
N 6.2976 -2.6944 1.3284
N 12.6939 0.2862 5.4645
N 13.1560 -0.2862 1.6326
N 13.7437 -2.6944 2.5034
Cl 2.2319 1.1537 7.0770
Cl 9.0781 3.0410 3.9487
Cl 10.0390 3.0410 7.5469
Cl 2.6941 -1.1537 3.2452
Cl 16.8851 1.1537 4.4185
Cl 9.5402 -3.0410 0.1168
Cl 10.5011 -3.0410 3.7150
Cl 17.3472 -1.1537 0.5867
```

---

The following is a simulated powder XRD pattern of TeS4N4Cl4. It was derived from a GGA-PBE-relaxed structure, using Cu Ka.
Intensities are scaled so that the largest is 100.

Main lines, by angle (2θ = 5–70°):
2θ/deg  d (Å)  intensity
9.67  9.150  45
12.98  6.823  100
14.33  6.179  64
15.70  5.643  50
18.43  4.814  43
24.23  3.673  36
27.30  3.267  42
39.38  2.288  41

```
26
Lattice="6.8876 -6.1667 0.0000 6.8876 6.1667 0.0000 -1.0663 0.0000 7.7033" Properties=species:S:1:pos:R:3 pbc="T T T"
Te 6.3545 4.5968 3.8516
Te 6.8876 -4.5968 0.0000
S 5.6594 3.3107 0.7567
S 8.3581 3.2552 1.4211
S 5.2597 0.5034 1.6681
S 4.7265 -0.5034 5.5197
S 8.1525 0.4412 2.3868
S 7.6193 -0.4412 6.2384
S 5.1262 -3.3107 4.6084
S 7.8250 -3.2552 5.2727
N 6.8112 3.6233 1.9211
N 5.0961 1.8289 0.8631
N 6.5736 0.2744 2.5437
N 8.7394 1.7516 1.7771
N 6.0404 -0.2744 6.3954
N 4.5630 -1.8289 4.7147
N 8.2062 -1.7516 5.6287
N 6.2781 -3.6233 5.7728
Cl 0.8898 0.1354 7.0602
Cl 4.4718 2.9556 4.0370
Cl 1.4229 -0.1354 3.2085
Cl 7.9042 2.9456 4.8721
Cl 5.0050 -2.9556 0.1854
Cl 8.4373 -2.9456 1.0205
Cl 11.2711 0.1228 6.1851
Cl 11.8043 -0.1228 2.3335
```

---

The following is a simulated powder XRD pattern of VS2N3Cl2. It was derived from a GGA-PBE-relaxed structure, using Cu Ka.
Intensities are scaled so that the largest is 100.

Main lines, by angle (2θ = 5–70°):
2θ/deg  d (Å)  intensity
11.09  7.976  54
11.61  7.619  100
16.28  5.444  87
19.31  4.597  71
29.99  2.980  48
32.19  2.781  76
32.44  2.760  42
34.79  2.578  40

```
16
Lattice="5.7819 0.0000 0.0000 2.0534 7.6215 0.0000 1.2061 -0.1915 7.9756" Properties=species:S:1:pos:R:3 pbc="T T T"
V 1.8694 -0.0373 2.9003
V 7.1720 7.4674 5.0754
S 3.4897 5.2085 5.4918
S 2.0509 2.1654 0.7245
S 6.9905 5.2647 7.2511
S 5.5517 2.2216 2.4838
N 2.5886 4.6714 6.6814
N 2.9179 6.5224 4.7934
N 2.4793 0.8901 1.5662
N 6.5621 6.5400 6.4094
N 6.1235 0.9077 3.1822
N 6.4528 2.7587 1.2943
Cl 3.2262 5.7653 1.7629
Cl 3.0978 1.2701 4.5482
Cl 5.9436 6.1600 3.4275
Cl 5.8152 1.6648 6.2127
```

---

The following is a simulated powder XRD pattern of SbNCl3. It was derived from a GGA-PBE-relaxed structure, using Cu Ka.
Intensities are scaled so that the largest is 100.

Main lines, by angle (2θ = 5–70°):
2θ/deg  d (Å)  intensity
12.56  7.048  100
15.57  5.691  67
18.08  4.906  39
23.75  3.746  47
29.85  2.993  25
31.59  2.832  24
32.41  2.762  25
32.56  2.750  24

```
10
Lattice="5.7966 0.0000 0.0000 1.3627 7.0485 0.0000 0.0188 0.0378 8.8447" Properties=species:S:1:pos:R:3 pbc="T T T"
Sb 0.7346 3.4419 2.2127
Sb 6.4436 3.6443 6.6320
N 2.1684 0.0642 6.6467
N 5.0097 7.0220 2.1981
Cl 0.8179 1.7499 0.4859
Cl 0.8260 1.7637 3.9523
Cl 3.0742 3.9258 2.2064
Cl 4.1039 3.1604 6.6384
Cl 6.3521 5.3225 4.8925
Cl 6.3602 5.3363 8.3589
```

---

The following is a simulated powder XRD pattern of SbSe3N2Cl7. It was derived from a GGA-PBE-relaxed structure, using Cu Ka.
Intensities are scaled so that the largest is 100.

Main lines, by angle (2θ = 5–70°):
2θ/deg  d (Å)  intensity
13.91  6.368  60
14.45  6.130  100
15.98  5.545  90
16.77  5.285  98
17.42  5.091  88
17.96  4.938  57
21.43  4.147  55
34.80  2.578  41

```
26
Lattice="7.3643 0.0000 0.0000 2.7738 6.9508 0.0000 0.0975 1.8686 15.9192" Properties=species:S:1:pos:R:3 pbc="T T T"
Sb 0.0000 0.0000 0.0000
Sb 0.7199 1.0146 8.0389
Se 3.2288 3.1084 2.7815
Se 4.5296 4.3958 5.2567
Se 6.0747 5.8703 13.6814
Se 4.9106 1.9206 5.0762
Se 7.2230 6.7890 10.9781
Se 6.7207 3.9953 12.1622
N 3.3788 4.4617 3.9586
N 4.0496 1.7826 3.5599
N 6.4854 7.1195 12.5215
N 7.4853 5.0141 10.9708
Cl 2.6716 7.5121 13.9007
Cl 3.1520 8.0538 10.4371
Cl 1.5105 3.4408 14.7416
Cl 1.0494 0.9000 5.6446
Cl 2.5088 2.5894 8.2501
Cl 4.7173 5.6831 0.6439
Cl 5.0425 6.1357 8.3456
Cl 4.6215 3.5186 11.3776
Cl 6.5644 5.0548 4.4480
Cl 5.4904 3.1512 15.2261
Cl 6.4981 2.8394 7.7391
Cl 8.6771 5.4154 1.1360
Cl 9.0376 6.4079 7.8386
Cl 7.5341 1.3466 1.9819
```

---

The following is a simulated powder XRD pattern of SeN2Cl4. It was derived from a GGA-PBE-relaxed structure, using Cu Ka.
Intensities are scaled so that the largest is 100.

Main lines, by angle (2θ = 5–70°):
2θ/deg  d (Å)  intensity
20.10  4.417  100
21.08  4.215  28
22.56  3.941  42
23.21  3.832  18
30.91  2.893  22
32.54  2.752  35
39.75  2.268  13
43.77  2.068  19

```
7
Lattice="5.0266 0.0000 0.0000 1.7949 6.1238 0.0000 0.4323 0.7897 6.5603" Properties=species:S:1:pos:R:3 pbc="T T T"
Se 0.0000 0.0000 0.0000
N 3.7040 4.8218 4.1019
N 3.5498 2.0916 2.4584
Cl 2.4113 4.7982 5.3741
Cl 3.0185 4.7097 2.5975
Cl 4.2353 2.2038 3.9627
Cl 4.8425 2.1153 1.1861
```

---

The following is a simulated powder XRD pattern of Si2NCl5. It was derived from a GGA-PBE-relaxed structure, using Cu Ka.
Intensities are scaled so that the largest is 100.

Main lines, by angle (2θ = 5–70°):
2θ/deg  d (Å)  intensity
10.17  8.698  38
12.04  7.349  52
13.79  6.423  100
18.34  4.836  25
24.63  3.615  63
25.49  3.494  29
28.84  3.096  20
30.10  2.968  21

```
32
Lattice="6.8347 0.0000 0.0000 0.0000 14.6976 0.0000 -3.9231 0.0000 10.7913" Properties=species:S:1:pos:R:3 pbc="T T T"
Si -0.9690 0.3854 2.7453
Si -2.9305 6.9634 8.1409
Si -1.7658 8.5556 5.6343
Si 0.1958 13.4908 0.2387
Si 2.7158 1.2068 10.5526
Si 4.6774 6.1420 5.1569
Si 5.8421 7.7342 2.6504
Si 3.8806 14.3122 8.0460
N -1.4893 7.4934 4.2735
N -3.4508 14.5531 9.6691
N 6.3625 0.1446 1.1222
N 4.4009 7.2043 6.5178
Cl -2.2370 1.3728 7.3007
Cl -0.2755 5.9760 1.9051
Cl 1.0977 2.7264 0.1473
Cl -0.8638 4.6224 5.5429
Cl 0.4548 9.1681 2.5951
Cl -1.5068 12.8783 7.9908
Cl 0.5809 0.9947 3.9259
Cl -1.3806 6.3541 9.3216
Cl -0.0951 9.3548 6.4716
Cl 1.8665 12.6916 1.0760
Cl 1.0451 2.0060 9.7153
Cl 3.0067 5.3428 4.3197
Cl 4.2922 8.3435 1.4697
Cl 2.3307 13.7029 6.8653
Cl 4.4184 1.8193 2.8005
Cl 2.4568 5.5295 8.1962
Cl 3.7755 10.0752 5.2484
Cl 1.8139 11.9712 10.6440
Cl 3.1871 8.7216 8.8862
Cl 5.1487 13.3248 3.4906
```

---

The following is a simulated powder XRD pattern of Sr5SiN4Cl2. It was derived from a GGA-PBE-relaxed structure, using Cu Ka.
Intensities are scaled so that the largest is 100.

Main lines, by angle (2θ = 5–70°):
2θ/deg  d (Å)  intensity
18.87  4.702  28
27.49  3.245  52
28.69  3.112  62
31.98  2.799  100
32.28  2.773  49
36.07  2.490  32
41.02  2.200  46
46.08  1.970  51

```
12
Lattice="8.3192 0.0000 0.0000 0.0000 4.7017 3.1084 0.0000 -4.7017 3.1084" Properties=species:S:1:pos:R:3 pbc="T T T"
Sr 0.0000 0.0000 0.0000
Sr 2.5809 -1.7922 2.3842
Sr 2.5809 1.7922 2.3842
Sr 5.7383 -1.7922 2.3842
Sr 5.7383 1.7922 2.3842
Si 4.1596 0.0000 5.5202
N 2.6105 0.0000 0.3617
N 4.1596 -1.4207 4.4112
N 4.1596 1.4207 4.4112
N 5.7087 0.0000 0.3617
Cl 0.0000 -1.7872 3.9318
Cl 0.0000 1.7872 3.9318
```

---

The following is a simulated powder XRD pattern of Sr8N4Cl3. It was derived from a GGA-PBE-relaxed structure, using Cu Ka.
Intensities are scaled so that the largest is 100.

Main lines, by angle (2θ = 5–70°):
2θ/deg  d (Å)  intensity
26.76  3.331  51
27.31  3.266  57
31.19  2.868  100
31.59  2.832  50
44.68  2.028  31
44.95  2.017  32
45.71  1.985  18
56.35  1.633  17

```
15
Lattice="5.6675 -5.7435 0.0000 5.6675 5.7435 0.0000 -5.4985 0.0000 5.7285" Properties=species:S:1:pos:R:3 pbc="T T T"
Sr -2.9573 0.0000 5.4096
Sr -0.0067 0.0000 2.7163
Sr 5.6675 3.1116 0.0000
Sr 2.9182 3.0985 2.8642
Sr 2.9182 -3.0985 2.8642
Sr 5.6675 -3.1116 0.0000
Sr 5.8432 0.0000 3.0121
Sr 8.7938 0.0000 0.3189
N 0.0000 0.0000 0.0000
N -2.7492 0.0000 2.8642
N 0.0845 2.8718 2.8642
N 0.0845 -2.8718 2.8642
Cl 2.8337 2.8718 0.0000
Cl 2.8337 -2.8718 0.0000
Cl 5.6675 0.0000 0.0000
```

---

The following is a simulated powder XRD pattern of Sr2N2Cl3. It was derived from a GGA-PBE-relaxed structure, using Cu Ka.
Intensities are scaled so that the largest is 100.

Main lines, by angle (2θ = 5–70°):
2θ/deg  d (Å)  intensity
17.99  4.931  100
20.67  4.298  45
26.92  3.312  46
29.56  3.021  73
30.79  2.904  40
31.52  2.839  37
33.68  2.661  75
36.20  2.481  37

```
7
Lattice="4.0665 0.0000 0.0000 -1.5840 6.4026 0.0000 -0.4325 -0.9142 6.6259" Properties=species:S:1:pos:R:3 pbc="T T T"
Sr 0.0712 1.2332 1.9496
Sr 1.9788 4.2552 4.6763
N -0.2016 5.6117 3.5193
N 2.2517 -0.1234 3.1066
Cl -0.0560 2.1537 4.7896
Cl 2.0333 0.0000 0.0000
Cl 2.1061 3.3346 1.8363
```